# Cu6SbAs
Calculated powder X-ray diffraction pattern, Cu Ka. Input: a cell relaxed with GGA-PBE.
Neutral-atom scattering factors, no anomalous dispersion.

Cell and atoms:
```
32
Lattice="7.7214 0.0000 0.0000 0.0000 5.4573 5.4298 0.0000 -5.4573 5.4298" Properties=species:S:1:pos:R:3 pbc="T T T"
Cu 0.3464 -3.6307 5.4298
Cu 0.3490 -1.8649 7.1886
Cu 0.6162 -1.1191 2.4282
Cu 0.6804 1.1389 4.6717
Cu 1.9303 -0.2104 0.2239
Cu 1.9303 3.3724 3.7831
Cu 1.9303 0.2427 6.9891
Cu 1.9303 2.0262 8.7632
Cu 3.1803 1.1389 4.6717
Cu 3.2445 -1.1191 2.4282
Cu 3.5143 -3.6307 5.4298
Cu 3.5117 -1.8649 7.1886
Cu 4.2071 3.6307 5.4298
Cu 4.2097 1.8649 7.1886
Cu 4.4769 1.1191 2.4282
Cu 4.5411 -1.1389 4.6717
Cu 5.7910 -3.3724 3.7831
Cu 5.7910 0.2104 0.2239
Cu 5.7910 -0.2427 6.9891
Cu 5.7910 -2.0262 8.7632
Cu 7.0410 -1.1389 4.6717
Cu 7.1052 1.1191 2.4282
Cu 7.3750 3.6307 5.4298
Cu 7.3724 1.8649 7.1886
Sb 0.0000 0.0000 9.0078
Sb 1.9303 -1.3597 4.9249
Sb 3.8607 0.0000 9.0078
Sb 5.7910 1.3597 4.9249
As 1.9303 1.3703 2.2233
As 1.9303 2.7402 6.2884
As 5.7910 -1.3703 2.2233
As 5.7910 -2.7402 6.2884
```

Most intense lines, 15° ≤ 2θ ≤ 90°, by angle:
| d/Å | 2θ/deg | I/Imax |
| --- | --- | --- |
| 2.726 | 32.9 | 202 |
| 2.139 | 42.3 | 1000 |
| 2.130 | 42.4 | 210 |
| 2.062 | 43.9 | 292 |
| 2.055 | 44.1 | 143 |
| 1.930 | 47.1 | 69 |
| 1.925 | 47.2 | 141 |
| 1.252 | 76.0 | 89 |

***

# CuAsSe2
Calculated powder X-ray diffraction pattern, Cu Ka. Input: a cell relaxed with GGA-PBE.
Neutral-atom scattering factors, no anomalous dispersion.

Cell and atoms:
```
8
Lattice="-2.8969 2.8969 5.9448 2.8969 -2.8969 5.9448 2.8969 2.8969 -5.9448" Properties=species:S:1:pos:R:3 pbc="T T T"
Cu 0.0000 0.0000 0.0000
Cu 0.0000 2.8969 2.9724
As 2.8969 0.0000 2.9724
As 0.0000 0.0000 5.9448
Se 1.4485 1.2700 -1.4862
Se 1.6269 -1.4485 7.4311
Se 1.4485 1.6269 4.4586
Se 1.2700 4.3454 1.4862
```

Most intense lines, 15° ≤ 2θ ≤ 90°, by angle:
| d/Å | 2θ/deg | I/Imax |
| --- | --- | --- |
| 3.373 | 26.4 | 1000 |
| 2.075 | 43.6 | 494 |
| 2.048 | 44.2 | 228 |
| 1.784 | 51.2 | 156 |
| 1.751 | 52.2 | 277 |
| 1.345 | 69.9 | 110 |
| 1.203 | 79.7 | 78 |
| 1.188 | 81.0 | 133 |

***

# Cu7As6Se13
Calculated powder X-ray diffraction pattern, Cu Ka. Input: a cell relaxed with GGA-PBE.
Neutral-atom scattering factors, no anomalous dispersion.

Cell and atoms:
```
26
Lattice="6.8306 3.9436 3.8274 -6.8306 3.9436 3.8274 0.0000 -7.8873 3.8274" Properties=species:S:1:pos:R:3 pbc="T T T"
Cu 0.0000 0.0000 0.0000
Cu -1.4208 -1.3115 3.9206
Cu -0.4253 1.8862 3.9206
Cu 1.8462 -0.5747 3.9206
Cu -2.1144 0.4775 7.5596
Cu 0.6436 -2.0698 7.5596
Cu 1.4707 1.5923 7.5596
As -4.4619 1.4534 4.0802
As 0.9723 -4.5908 4.0802
As -3.1984 -2.7636 7.5283
As 3.4896 3.1374 4.0802
As -0.7942 4.1517 7.5283
As 3.9926 -1.3881 7.5283
Se -1.1298 -3.6135 3.0816
Se -5.3169 -2.5592 6.1945
Se -2.5645 2.7852 3.0816
Se 0.0000 0.0000 2.4809
Se -4.3952 1.0880 7.1108
Se -1.4123 -1.5356 6.4004
Se 1.2554 -4.3503 7.1108
Se 3.6943 0.8284 3.0816
Se -0.6237 1.9909 6.4004
Se 2.0360 -0.4553 6.4004
Se 4.8748 -3.3250 6.1945
Se 0.4421 5.8842 6.1945
Se 3.1398 3.2623 7.1108
```

Most intense lines, 15° ≤ 2θ ≤ 90°, by angle:
| d/Å | 2θ/deg | I/Imax |
| --- | --- | --- |
| 3.827 | 23.2 | 381 |
| 3.155 | 28.3 | 1000 |
| 2.161 | 41.8 | 462 |
| 1.894 | 48.0 | 369 |
| 1.881 | 48.4 | 154 |
| 1.698 | 54.0 | 171 |
| 1.624 | 56.7 | 107 |
| 1.424 | 65.5 | 89 |